No. 1
Structure and theoretical X-ray powder pattern of MgCuO2 (a PBE-relaxed structure; CuKα).
Intensities are scaled so that the largest is 100.

Crystal structure
Cell lengths 2.8600, 8.0737, 8.3257 Å; angles 89.48, 81.01, 80.13 degrees
Sites, in units of the cell vectors:
Mg (0.0164, 0.2758, 0.1288)
Mg (0.2037, 0.4061, 0.7168)
Mg (0.7963, 0.5939, 0.2832)
Mg (0.9836, 0.7242, 0.8712)
Cu (0.1891, 0.9218, 0.1773)
Cu (0.4195, 0.2092, 0.4317)
Cu (0.5805, 0.7908, 0.5683)
Cu (0.8109, 0.0782, 0.8227)
O (0.1785, 0.7147, 0.4282)
O (0.2065, 0.2254, 0.8923)
O (0.4066, 0.4283, 0.2098)
O (0.4166, 0.9158, 0.7691)
O (0.5834, 0.0842, 0.2309)
O (0.5934, 0.5717, 0.7902)
O (0.7935, 0.7746, 0.1077)
O (0.8215, 0.2853, 0.5718)

Principal peaks in the range 10° ≤ 2θ ≤ 90°, sorted by position:
- 2θ 11.1, rel. 63
- 2θ 25.1, rel. 24
- 2θ 31.0, rel. 100
- 2θ 32.7, rel. 30
- 2θ 34.8, rel. 27
- 2θ 35.6, rel. 30
- 2θ 36.0, rel. 27
- 2θ 36.2, rel. 23
- 2θ 42.7, rel. 22
- 2θ 51.0, rel. 22

No. 2
Structure and theoretical X-ray powder pattern of TePt (a PBE-relaxed structure; CuKα).
Intensities are scaled so that the largest is 100.

Crystal structure
Cell lengths 7.2473, 7.2473, 7.2473 Å; angles 32.19, 32.19, 32.19 degrees
Sites, in units of the cell vectors:
Te (0.0959, 0.0959, 0.0959)
Te (0.9041, 0.9041, 0.9041)
Pt (0.3694, 0.3694, 0.3694)
Pt (0.6306, 0.6306, 0.6306)

Principal peaks in the range 10° ≤ 2θ ≤ 90°, sorted by position:
- 2θ 12.9, rel. 46
- 2θ 31.0, rel. 100
- 2θ 40.1, rel. 31
- 2θ 43.7, rel. 19
- 2θ 45.1, rel. 45
- 2θ 47.1, rel. 12
- 2θ 55.8, rel. 40
- 2θ 62.0, rel. 9
- 2θ 74.4, rel. 25
- 2θ 85.7, rel. 13

No. 3
Structure and theoretical X-ray powder pattern of Pm2InHg (a PBE-relaxed structure; CuKα).
Intensities are scaled so that the largest is 100.

Crystal structure
Cell lengths 5.4454, 5.4454, 5.4454 Å; angles 60.00, 60.00, 60.00 degrees
Sites, in units of the cell vectors:
Pm (0.2500, 0.2500, 0.2500)
Pm (0.7500, 0.7500, 0.7500)
In (0.0000, 0.0000, 0.0000)
Hg (0.5000, 0.5000, 0.5000)

Principal peaks in the range 10° ≤ 2θ ≤ 90°, sorted by position:
- 2θ 20.0, rel. 4
- 2θ 32.9, rel. 100
- 2θ 38.8, rel. 2
- 2θ 47.2, rel. 18
- 2θ 51.7, rel. 1
- 2θ 58.7, rel. 38
- 2θ 69.0, rel. 12
- 2θ 72.6, rel. 1
- 2θ 78.6, rel. 16
- 2θ 87.8, rel. 4

No. 4
Structure and theoretical X-ray powder pattern of EuIn2Pd (a PBE-relaxed structure; CuKα).
Intensities are scaled so that the largest is 100.

Crystal structure
Cell lengths 5.7864, 5.7864, 7.9360 Å; angles 90.00, 90.00, 133.40 degrees
Sites, in units of the cell vectors:
Eu (0.0645, 0.9355, 0.7500)
Eu (0.9355, 0.0645, 0.2500)
In (0.3535, 0.6465, 0.5531)
In (0.3535, 0.6465, 0.9469)
In (0.6465, 0.3535, 0.0531)
In (0.6465, 0.3535, 0.4469)
Pd (0.2181, 0.7819, 0.2500)
Pd (0.7819, 0.2181, 0.7500)

Principal peaks in the range 10° ≤ 2θ ≤ 90°, sorted by position:
- 2θ 31.0, rel. 100
- 2θ 31.9, rel. 27
- 2θ 33.9, rel. 72
- 2θ 35.6, rel. 34
- 2θ 38.0, rel. 26
- 2θ 39.4, rel. 65
- 2θ 40.3, rel. 27
- 2θ 54.1, rel. 20
- 2θ 55.9, rel. 16
- 2θ 64.7, rel. 18

No. 5
Structure and theoretical X-ray powder pattern of Gd2CdS4 (a PBE-relaxed structure; CuKα).
Intensities are scaled so that the largest is 100.

Crystal structure
Cell lengths 7.3342, 7.3342, 7.3342 Å; angles 110.40, 110.40, 107.63 degrees
Sites, in units of the cell vectors:
Gd (0.0143, 0.6250, 0.8893)
Gd (0.3750, 0.2643, 0.3893)
Gd (0.7357, 0.1250, 0.1107)
Gd (0.8750, 0.9857, 0.6107)
Cd (0.2500, 0.7500, 0.5000)
Cd (0.5000, 0.5000, 0.0000)
S (0.0105, 0.8848, 0.2614)
S (0.1152, 0.3766, 0.1257)
S (0.1266, 0.3652, 0.6257)
S (0.2509, 0.9895, 0.8743)
S (0.4991, 0.8734, 0.2386)
S (0.6234, 0.7491, 0.7386)
S (0.6348, 0.2605, 0.7614)
S (0.7395, 0.5009, 0.3743)

Principal peaks in the range 10° ≤ 2θ ≤ 90°, sorted by position:
- 2θ 25.5, rel. 67
- 2θ 25.9, rel. 100
- 2θ 32.8, rel. 46
- 2θ 33.7, rel. 54
- 2θ 33.9, rel. 50
- 2θ 39.4, rel. 34
- 2θ 40.2, rel. 29
- 2θ 47.3, rel. 24
- 2θ 50.4, rel. 32
- 2θ 56.0, rel. 27

No. 6
Structure and theoretical X-ray powder pattern of Ti2VTe4 (a PBE-relaxed structure; CuKα).
Intensities are scaled so that the largest is 100.

Crystal structure
Cell lengths 7.4539, 7.4539, 6.9424 Å; angles 116.77, 116.77, 29.99 degrees
Sites, in units of the cell vectors:
Ti (0.2484, 0.2484, 0.2047)
Ti (0.7516, 0.7516, 0.7953)
V (0.5000, 0.5000, 0.5000)
Te (0.1338, 0.1338, 0.4673)
Te (0.3926, 0.3926, 0.0535)
Te (0.6074, 0.6074, 0.9465)
Te (0.8662, 0.8662, 0.5327)

Principal peaks in the range 10° ≤ 2θ ≤ 90°, sorted by position:
- 2θ 28.0, rel. 27
- 2θ 29.1, rel. 36
- 2θ 29.5, rel. 51
- 2θ 29.9, rel. 100
- 2θ 30.1, rel. 57
- 2θ 38.0, rel. 18
- 2θ 38.7, rel. 35
- 2θ 39.1, rel. 39
- 2θ 45.7, rel. 50
- 2θ 47.1, rel. 25

No. 7
Structure and theoretical X-ray powder pattern of Lu4Rh (a PBE-relaxed structure; CuKα).
Intensities are scaled so that the largest is 100.

Crystal structure
Cell lengths 7.4700, 7.4700, 7.4700 Å; angles 60.00, 60.00, 60.00 degrees
Sites, in units of the cell vectors:
Lu (0.2091, 0.7636, 0.7636)
Lu (0.2364, 0.2364, 0.2364)
Lu (0.2364, 0.2364, 0.7909)
Lu (0.2364, 0.7909, 0.2364)
Lu (0.7636, 0.2091, 0.7636)
Lu (0.7636, 0.7636, 0.2091)
Lu (0.7636, 0.7636, 0.7636)
Lu (0.7909, 0.2364, 0.2364)
Rh (0.3750, 0.3750, 0.3750)
Rh (0.6250, 0.6250, 0.6250)

Principal peaks in the range 10° ≤ 2θ ≤ 90°, sorted by position:
- 2θ 23.8, rel. 9
- 2θ 29.3, rel. 100
- 2θ 33.9, rel. 35
- 2θ 37.1, rel. 17
- 2θ 44.6, rel. 19
- 2θ 48.8, rel. 44
- 2θ 57.9, rel. 35
- 2θ 62.8, rel. 8
- 2θ 73.4, rel. 8
- 2θ 79.0, rel. 11

No. 8
Structure and theoretical X-ray powder pattern of MoC (a PBE-relaxed structure; CuKα).
Intensities are scaled so that the largest is 100.

Crystal structure
Cell lengths 3.3225, 3.3225, 3.3225 Å; angles 60.00, 60.00, 60.00 degrees
Sites, in units of the cell vectors:
Mo (0.0000, 0.0000, 0.0000)
C (0.7500, 0.7500, 0.7500)

Principal peaks in the range 10° ≤ 2θ ≤ 90°, sorted by position:
- 2θ 33.0, rel. 100
- 2θ 38.3, rel. 39
- 2θ 55.3, rel. 38
- 2θ 65.9, rel. 38
- 2θ 69.3, rel. 9
- 2θ 82.0, rel. 6

Question: Which formula does entry 3 have?
Answer: Pm2InHg